Structure and simulated powder diffraction line list of ErFeGe2O7 (DFT lattice parameters and positions (GGA+U); copper Kα).
No peak broadening, texture or thermal motion is included.

Peak list (8 most intense, 2θ from 10° to 90°, sorted by position)
2theta  d (Å)  I (rel.)
26.89  3.316  29
27.56  3.236  100
29.99  2.979  44
34.27  2.617  33
35.86  2.504  17
47.26  1.923  17
53.11  1.724  21
58.92  1.567  17

Cell lengths 6.9436, 6.9436, 6.6629 Å; angles 110.40, 110.40, 77.68 degrees
Positions (direct):
Er (0.2032, 0.7968, 0.0000)
Er (0.7968, 0.2032, 0.0000)
Fe (0.3037, 0.6963, 0.5000)
Fe (0.6963, 0.3037, 0.5000)
Ge (0.2169, 0.2169, 0.5129)
Ge (0.3038, 0.3038, 0.0778)
Ge (0.6962, 0.6962, 0.9222)
Ge (0.7831, 0.7831, 0.4871)
O (0.0541, 0.7259, 0.6010)
O (0.1314, 0.1314, 0.0326)
O (0.2158, 0.5695, 0.1686)
O (0.2741, 0.9459, 0.3990)
O (0.3123, 0.3123, 0.8100)
O (0.3644, 0.3644, 0.4543)
O (0.4305, 0.7842, 0.8314)
O (0.5695, 0.2158, 0.1686)
O (0.6356, 0.6356, 0.5457)
O (0.6877, 0.6877, 0.1900)
O (0.7259, 0.0541, 0.6010)
O (0.7842, 0.4305, 0.8314)
O (0.8686, 0.8686, 0.9674)
O (0.9459, 0.2741, 0.3990)